Mg5Si6: calculated powder XRD pattern (Cu Kα, 1.54184 Å), based on a cell relaxed with GGA-PBE.
Lines closer than 0.1° are merged.

Cell and atoms:
Unit cell a=6.9173 b=4.0722 c=14.4867 alpha=90.00 beta=92.48 gamma=90.00
Fractional coordinates of all 22 atoms:
Mg  0.0000  0.0000  0.0000
Mg  0.1613  0.5000  0.1436
Mg  0.1782  0.5000  0.4416
Mg  0.2014  0.5000  0.6917
Mg  0.3162  0.5000  0.9236
Mg  0.5000  0.0000  0.5000
Mg  0.6838  0.5000  0.0764
Mg  0.7986  0.5000  0.3083
Mg  0.8218  0.5000  0.5584
Mg  0.8387  0.5000  0.8564
Si  0.1148  0.0000  0.8229
Si  0.1201  0.0000  0.5649
Si  0.1228  0.0000  0.3041
Si  0.3839  0.0000  0.0602
Si  0.4005  0.5000  0.2957
Si  0.4634  0.0000  0.7842
Si  0.5366  0.0000  0.2158
Si  0.5995  0.5000  0.7043
Si  0.6161  0.0000  0.9398
Si  0.8772  0.0000  0.6959
Si  0.8799  0.0000  0.4351
Si  0.8852  0.0000  0.1771

Principal peaks in the range 2θ = 5–70°, by intensity:
44.5 deg, I = 100; 36.0 deg, I = 95; 38.4 deg, I = 93; 35.2 deg, I = 86; 34.0 deg, I = 70; 41.7 deg, I = 48

Mg3Si4: calculated powder XRD pattern (Cu Kα, 1.54184 Å), based on a cell relaxed with GGA-PBE.
Lines closer than 0.1° are merged.

Cell and atoms:
Unit cell a=6.3655 b=6.3655 c=9.0419 alpha=111.20 beta=111.20 gamma=51.75
Fractional coordinates of all 14 atoms:
Mg  0.0000  0.0000  0.0000
Mg  0.3140  0.1967  0.6106
Mg  0.4518  0.0049  0.9270
Mg  0.5013  0.4987  0.5000
Mg  0.8033  0.6860  0.3894
Mg  0.9951  0.5482  0.0730
Si  0.1158  0.7845  0.6859
Si  0.2155  0.8842  0.3141
Si  0.2818  0.1981  0.2852
Si  0.5094  0.4825  0.1324
Si  0.5175  0.4906  0.8676
Si  0.7218  0.0759  0.2359
Si  0.8019  0.7182  0.7148
Si  0.9241  0.2782  0.7641

Principal peaks in the range 2θ = 5–70°, by intensity:
36.2 deg, I = 100; 40.4 deg, I = 63; 34.2 deg, I = 44; 47.7 deg, I = 27; 39.0 deg, I = 27; 35.5 deg, I = 24

Mg4Si3: calculated powder XRD pattern (Cu Kα, 1.54184 Å), based on a cell relaxed with GGA-PBE.
Lines closer than 0.1° are merged.

Cell and atoms:
Unit cell a=5.6377 b=6.1286 c=8.0652 alpha=90.69 beta=105.36 gamma=90.49
Fractional coordinates of all 14 atoms:
Mg  0.0000  0.0000  0.0000
Mg  0.0259  0.6912  0.4007
Mg  0.2420  0.6403  0.8565
Mg  0.3815  0.0657  0.3638
Mg  0.4641  0.1922  0.9254
Mg  0.6289  0.8192  0.6777
Mg  0.7542  0.3399  0.6562
Mg  0.8554  0.2258  0.3018
Si  0.0815  0.9975  0.6552
Si  0.2065  0.3963  0.1380
Si  0.2386  0.3479  0.5999
Si  0.5093  0.6048  0.3520
Si  0.6219  0.8305  0.1283
Si  0.8143  0.5481  0.9811

Principal peaks in the range 2θ = 5–70°, by intensity:
37.6 deg, I = 100; 37.9 deg, I = 87; 37.1 deg, I = 74; 38.2 deg, I = 70; 34.7 deg, I = 67; 36.3 deg, I = 57

Mg4Si7: calculated powder XRD pattern (Cu Kα, 1.54184 Å), based on a cell relaxed with GGA-PBE.
Lines closer than 0.1° are merged.

Cell and atoms:
Unit cell a=3.9334 b=7.2041 c=14.5995 alpha=85.46 beta=82.34 gamma=89.95
Fractional coordinates of all 22 atoms:
Mg  0.0000  0.0000  0.0000
Mg  0.0266  0.4933  0.9450
Mg  0.1084  0.8864  0.7816
Mg  0.1458  0.3872  0.7076
Mg  0.5709  0.1896  0.8531
Mg  0.7318  0.4255  0.5347
Mg  0.7802  0.9250  0.4410
Mg  0.9249  0.4481  0.1525
Si  0.2177  0.7224  0.5597
Si  0.2202  0.0928  0.5580
Si  0.2958  0.2758  0.4099
Si  0.3007  0.6182  0.4022
Si  0.4294  0.9937  0.1426
Si  0.4624  0.6892  0.0744
Si  0.4793  0.2757  0.0400
Si  0.5421  0.7991  0.9145
Si  0.5968  0.5706  0.8046
Si  0.6680  0.1001  0.6625
Si  0.6694  0.7479  0.6572
Si  0.8409  0.2476  0.3185
Si  0.8490  0.6596  0.3057
Si  0.8821  0.9728  0.2389

Principal peaks in the range 2θ = 5–70°, by intensity:
46.2 deg, I = 100; 37.6 deg, I = 93; 36.4 deg, I = 72; 39.1 deg, I = 64; 35.6 deg, I = 63; 33.8 deg, I = 53

Mg5Si6: calculated powder XRD pattern (Cu Kα, 1.54184 Å), based on a cell relaxed with GGA-PBE.
Lines closer than 0.1° are merged.

Cell and atoms:
Unit cell a=14.8122 b=14.8122 c=6.8278 alpha=99.29 beta=99.29 gamma=16.08
Fractional coordinates of all 22 atoms:
Mg  0.0000  0.0000  0.0000
Mg  0.1657  0.1657  0.2941
Mg  0.3276  0.3276  0.6074
Mg  0.3741  0.3741  0.1548
Mg  0.4314  0.4314  0.6871
Mg  0.5031  0.5031  0.3558
Mg  0.5905  0.5905  0.0897
Mg  0.6230  0.6230  0.5728
Mg  0.7012  0.7012  0.0070
Mg  0.7395  0.7395  0.5302
Si  0.0588  0.0588  0.6735
Si  0.0725  0.0725  0.3339
Si  0.1331  0.1331  0.8910
Si  0.1921  0.1921  0.6926
Si  0.2593  0.2593  0.2558
Si  0.2660  0.2660  0.8995
Si  0.5227  0.5227  0.7571
Si  0.8082  0.8082  0.2613
Si  0.8121  0.8121  0.9000
Si  0.8810  0.8810  0.4817
Si  0.8976  0.8976  0.9012
Si  0.9363  0.9363  0.2593

Principal peaks in the range 2θ = 5–70°, by intensity:
34.8 deg, I = 100; 36.2 deg, I = 85; 43.7 deg, I = 83; 38.3 deg, I = 45; 39.4 deg, I = 34; 34.4 deg, I = 34

Mg3Si4: calculated powder XRD pattern (Cu Kα, 1.54184 Å), based on a cell relaxed with GGA-PBE.
Lines closer than 0.1° are merged.

Cell and atoms:
Unit cell a=5.5584 b=7.2728 c=7.4566 alpha=108.96 beta=98.50 gamma=107.79
Fractional coordinates of all 14 atoms:
Mg  0.0000  0.0000  0.0000
Mg  0.0087  0.3564  0.4179
Mg  0.1264  0.9775  0.5401
Mg  0.4667  0.8496  0.1535
Mg  0.5581  0.2225  0.9774
Mg  0.6736  0.5280  0.7580
Si  0.1135  0.4515  0.1203
Si  0.1780  0.3822  0.8066
Si  0.2076  0.7267  0.7621
Si  0.4441  0.2276  0.3537
Si  0.5501  0.5690  0.3357
Si  0.5911  0.8316  0.6468
Si  0.7148  0.1491  0.6052
Si  0.8695  0.6837  0.1668

Principal peaks in the range 2θ = 5–70°, by intensity:
36.6 deg, I = 100; 34.5 deg, I = 83; 39.3 deg, I = 56; 37.5 deg, I = 55; 34.1 deg, I = 47; 33.1 deg, I = 39